1.
Calculated XRD peak list of AcLa2PdO5 for a wavelength of 1.5418 Å, from a crystal structure in Alexandria, relaxed with PBE.
Intensities are scaled so that the largest is 100.

Most intense lines, 10 to 90 degrees two-theta, low angle first:
2θ 23.61, intensity 24; 2θ 29.51, intensity 41; 2θ 30.11, intensity 100; 2θ 32.92, intensity 35; 2θ 37.35, intensity 26; 2θ 40.31, intensity 14; 2θ 41.95, intensity 19; 2θ 42.09, intensity 26; 2θ 48.30, intensity 22; 2θ 52.73, intensity 22; 2θ 56.12, intensity 18; 2θ 69.04, intensity 15

Crystal structure
```
AcLa2PdO5
1.0
6.8102 0.0000 0.0000
0.0000 6.8102 0.0000
0.0000 0.0000 6.0541
Ac La Pd O
2 4 2 10
direct
0.0000 0.0000 0.0000
0.5000 0.5000 0.0000
0.1657 0.3343 0.5000
0.3343 0.8343 0.5000
0.6657 0.1657 0.5000
0.8343 0.6657 0.5000
0.0000 0.5000 0.0000
0.5000 0.0000 0.0000
0.0000 0.0000 0.5000
0.1647 0.6647 0.2403
0.1647 0.6647 0.7597
0.3353 0.1647 0.2403
0.3353 0.1647 0.7597
0.5000 0.5000 0.5000
0.6647 0.8353 0.2403
0.6647 0.8353 0.7597
0.8353 0.3353 0.2403
0.8353 0.3353 0.7597
```

2.
Calculated XRD peak list of AcLa2SbO8 for a wavelength of 1.5418 Å, from a crystal structure in Alexandria, relaxed with PBE.
Intensities are scaled so that the largest is 100.

Most intense lines, 10 to 90 degrees two-theta, low angle first:
2θ 25.18, intensity 64; 2θ 25.42, intensity 59; 2θ 28.92, intensity 100; 2θ 31.25, intensity 50; 2θ 31.90, intensity 25; 2θ 39.88, intensity 29; 2θ 45.05, intensity 17; 2θ 45.19, intensity 17; 2θ 45.41, intensity 36; 2θ 49.30, intensity 13; 2θ 50.14, intensity 21; 2θ 56.25, intensity 21

Crystal structure
```
AcLa2SbO8
1.0
4.5213 0.0000 0.0000
0.0539 5.6105 0.0000
0.0146 0.0190 7.3937
Ac La Sb O
1 2 1 8
direct
0.0000 0.0000 0.0000
0.4978 0.4988 0.2480
0.5022 0.5012 0.7520
0.0000 0.0000 0.5000
0.0595 0.7569 0.6982
0.0609 0.7578 0.3024
0.4210 0.1165 0.5006
0.4621 0.2593 0.0000
0.5379 0.7407 0.0000
0.5790 0.8835 0.4994
0.9391 0.2422 0.6976
0.9405 0.2431 0.3018
```

3.
Calculated XRD peak list of AcLaSb2O8 for a wavelength of 1.5418 Å, from a crystal structure in Alexandria, relaxed with PBE.
Intensities are scaled so that the largest is 100.

Most intense lines, 10 to 90 degrees two-theta, low angle first:
2θ 27.25, intensity 100; 2θ 29.79, intensity 15; 2θ 32.42, intensity 22; 2θ 44.61, intensity 31; 2θ 46.51, intensity 14; 2θ 51.34, intensity 17; 2θ 54.74, intensity 29; 2θ 56.21, intensity 13; 2θ 71.61, intensity 7; 2θ 71.76, intensity 13; 2θ 74.60, intensity 6; 2θ 84.92, intensity 9

Crystal structure
```
AcLaSb2O8
1.0
-2.7615 2.7615 5.9975
2.7615 -2.7615 5.9975
2.7615 2.7615 -5.9975
Ac La Sb O
1 1 2 8
direct
0.0000 0.0000 0.0000
0.2500 0.7500 0.5000
0.5000 0.5000 0.0000
0.7500 0.2500 0.5000
0.9996 0.0868 0.4209
0.2577 0.6623 0.0915
0.3377 0.4292 0.5954
0.4213 0.0004 0.0871
0.5708 0.1662 0.9085
0.6659 0.5787 0.5791
0.8338 0.7423 0.4046
0.9132 0.3341 0.9129
```

4.
Calculated XRD peak list of Ac2LaSe2O2 for a wavelength of 1.5418 Å, from a crystal structure in Alexandria, relaxed with PBE.
Intensities are scaled so that the largest is 100.

Most intense lines, 10 to 90 degrees two-theta, low angle first:
2θ 25.26, intensity 56; 2θ 27.57, intensity 100; 2θ 33.35, intensity 62; 2θ 35.18, intensity 28; 2θ 39.38, intensity 47; 2θ 43.01, intensity 26; 2θ 47.37, intensity 22; 2θ 52.54, intensity 34; 2θ 56.91, intensity 16; 2θ 64.38, intensity 19; 2θ 65.12, intensity 19; 2θ 78.83, intensity 22

Crystal structure
```
Ac2LaSe2O2
1.0
4.5760 0.0000 0.0000
0.0000 4.5760 0.0000
0.0000 0.0000 16.5916
Ac La Se O
4 2 4 4
direct
0.0000 0.0000 0.1325
0.0000 0.0000 0.8675
0.5000 0.5000 0.3675
0.5000 0.5000 0.6325
0.0000 0.0000 0.5000
0.5000 0.5000 0.0000
0.0000 0.0000 0.3196
0.0000 0.0000 0.6804
0.5000 0.5000 0.1804
0.5000 0.5000 0.8196
0.0000 0.5000 0.0000
0.0000 0.5000 0.5000
0.5000 0.0000 0.0000
0.5000 0.0000 0.5000
```

5.
Calculated XRD peak list of AcLaSnO for a wavelength of 1.5418 Å, from a crystal structure in Alexandria, relaxed with PBE.
Intensities are scaled so that the largest is 100.

Most intense lines, 10 to 90 degrees two-theta, low angle first:
2θ 28.66, intensity 100; 2θ 29.77, intensity 89; 2θ 31.56, intensity 76; 2θ 38.11, intensity 18; 2θ 40.76, intensity 13; 2θ 43.68, intensity 18; 2θ 46.74, intensity 15; 2θ 50.29, intensity 41; 2θ 53.76, intensity 37; 2θ 55.75, intensity 32; 2θ 61.80, intensity 14; 2θ 89.46, intensity 18

Crystal structure
```
AcLaSnO
1.0
3.8869 0.0000 0.0000
0.0000 4.1446 0.0000
0.0000 0.0000 14.1690
Ac La Sn O
2 2 2 2
direct
0.0000 0.0000 0.0000
0.5000 0.5000 0.5000
0.0000 0.0000 0.3021
0.5000 0.5000 0.8021
0.0000 0.0000 0.6556
0.5000 0.5000 0.1556
0.0000 0.5000 0.8988
0.5000 0.0000 0.3988
```

6.
Calculated XRD peak list of AcLa3Os for a wavelength of 1.5418 Å, from a crystal structure in Alexandria, relaxed with PBE.
Intensities are scaled so that the largest is 100.

Most intense lines, 10 to 90 degrees two-theta, low angle first:
2θ 21.88, intensity 30; 2θ 22.08, intensity 36; 2θ 26.10, intensity 25; 2θ 27.04, intensity 69; 2θ 31.13, intensity 100; 2θ 31.71, intensity 33; 2θ 38.50, intensity 22; 2θ 44.53, intensity 17; 2θ 44.68, intensity 18; 2θ 45.03, intensity 47; 2θ 46.99, intensity 18; 2θ 47.87, intensity 17

Crystal structure
```
AcLa3Os
1.0
6.9563 -4.0566 0.0000
6.9563 4.0566 0.0000
-4.7571 0.0000 6.6038
Ac La Os
2 6 2
direct
0.1988 0.1988 0.1784
0.8012 0.8012 0.8216
0.2502 0.2502 0.7412
0.2685 0.7196 0.7193
0.2804 0.7315 0.2807
0.7196 0.2685 0.7193
0.7315 0.2804 0.2807
0.7498 0.7498 0.2588
0.0000 0.0000 0.5000
0.5000 0.5000 0.0000
```

7.
Calculated XRD peak list of Ac3La3Os2 for a wavelength of 1.5418 Å, from a crystal structure in Alexandria, relaxed with PBE.
Intensities are scaled so that the largest is 100.

Most intense lines, 10 to 90 degrees two-theta, low angle first:
2θ 17.96, intensity 17; 2θ 26.15, intensity 11; 2θ 28.13, intensity 100; 2θ 36.38, intensity 46; 2θ 43.75, intensity 34; 2θ 47.38, intensity 23; 2θ 51.68, intensity 11; 2θ 52.83, intensity 17; 2θ 58.17, intensity 11; 2θ 70.94, intensity 14; 2θ 71.77, intensity 14; 2θ 75.53, intensity 9

Crystal structure
```
Ac3La3Os2
1.0
7.1677 4.1383 6.8153
-7.1677 4.1383 6.8153
0.0000 -8.2765 6.8153
Ac La Os
12 12 8
direct
0.0841 0.2577 0.9084
0.0916 0.9159 0.7423
0.2522 0.4246 0.5822
0.2577 0.9084 0.0841
0.4178 0.7478 0.5754
0.4246 0.5822 0.2522
0.5754 0.4178 0.7478
0.5822 0.2522 0.4246
0.7423 0.0916 0.9159
0.7478 0.5754 0.4178
0.9084 0.0841 0.2577
0.9159 0.7423 0.0916
0.0741 0.7353 0.4048
0.0910 0.4086 0.2527
0.2527 0.0910 0.4086
0.2647 0.5952 0.9259
0.4048 0.0741 0.7353
0.4086 0.2527 0.0910
0.5914 0.7473 0.9090
0.5952 0.9259 0.2647
0.7353 0.4048 0.0741
0.7473 0.9090 0.5914
0.9090 0.5914 0.7473
0.9259 0.2647 0.5952
0.1729 0.1729 0.1729
0.1736 0.1765 0.6438
0.1765 0.6438 0.1736
0.3562 0.8264 0.8235
0.6438 0.1736 0.1765
0.8235 0.3562 0.8264
0.8264 0.8235 0.3562
0.8271 0.8271 0.8271
```

8.
Calculated XRD peak list of Ac2LaPrP4 for a wavelength of 1.5418 Å, from a crystal structure in Alexandria, relaxed with PBE.
Intensities are scaled so that the largest is 100.

Most intense lines, 10 to 90 degrees two-theta, low angle first:
2θ 12.46, intensity 7; 2θ 24.02, intensity 6; 2θ 25.09, intensity 94; 2θ 29.06, intensity 100; 2θ 41.56, intensity 76; 2θ 49.16, intensity 49; 2θ 51.50, intensity 27; 2θ 60.22, intensity 13; 2θ 66.28, intensity 20; 2θ 68.24, intensity 35; 2θ 75.82, intensity 24; 2θ 81.33, intensity 13

Crystal structure
```
Ac2LaPrP4
1.0
7.5231 0.0000 0.0000
0.0000 4.3461 0.0000
-2.5036 0.0000 7.1023
Ac La Pr P
2 1 1 4
direct
0.0000 0.0000 0.0000
0.5000 0.5000 0.0000
0.0000 0.5000 0.5000
0.5000 0.0000 0.5000
0.2475 0.0000 0.7394
0.2546 0.5000 0.2611
0.7454 0.5000 0.7389
0.7525 0.0000 0.2606
```

9.
Calculated XRD peak list of AcLaPSe for a wavelength of 1.5418 Å, from a crystal structure in Alexandria, relaxed with PBE.
Intensities are scaled so that the largest is 100.

Most intense lines, 10 to 90 degrees two-theta, low angle first:
2θ 24.60, intensity 13; 2θ 25.00, intensity 39; 2θ 28.83, intensity 100; 2θ 31.42, intensity 8; 2θ 40.97, intensity 37; 2θ 41.48, intensity 38; 2θ 48.82, intensity 13; 2θ 51.30, intensity 20; 2θ 59.72, intensity 12; 2θ 67.29, intensity 16; 2θ 68.02, intensity 17; 2θ 75.33, intensity 12

Crystal structure
```
AcLaPSe
1.0
4.3535 0.0000 0.0000
-2.1767 3.7702 0.0000
0.0000 0.0000 21.7141
Ac La P Se
3 3 3 3
direct
0.0000 0.0000 0.0000
0.3333 0.6667 0.6667
0.6667 0.3333 0.3333
0.0000 0.0000 0.4884
0.3333 0.6667 0.1551
0.6667 0.3333 0.8217
0.0000 0.0000 0.7476
0.3333 0.6667 0.4143
0.6667 0.3333 0.0809
0.0000 0.0000 0.2411
0.3333 0.6667 0.9077
0.6667 0.3333 0.5744
```

10.
Calculated XRD peak list of Ac2LaSmP4 for a wavelength of 1.5418 Å, from a crystal structure in Alexandria, relaxed with PBE.
Intensities are scaled so that the largest is 100.

Most intense lines, 10 to 90 degrees two-theta, low angle first:
2θ 12.53, intensity 6; 2θ 25.23, intensity 95; 2θ 29.22, intensity 100; 2θ 41.79, intensity 75; 2θ 49.45, intensity 49; 2θ 51.81, intensity 27; 2θ 60.59, intensity 13; 2θ 66.68, intensity 17; 2θ 68.65, intensity 29; 2θ 76.30, intensity 19; 2θ 76.36, intensity 6; 2θ 81.86, intensity 12

Crystal structure
```
Ac2LaSmP4
1.0
7.4809 0.0000 0.0000
0.0000 4.3229 0.0000
-2.4887 0.0000 7.0639
Ac La Sm P
2 1 1 4
direct
0.0000 0.0000 0.0000
0.5000 0.5000 0.0000
0.0000 0.5000 0.5000
0.5000 0.0000 0.5000
0.2495 0.0000 0.7374
0.2582 0.5000 0.2646
0.7418 0.5000 0.7354
0.7505 0.0000 0.2626
```

11.
Calculated XRD peak list of Ac7LaPb4 for a wavelength of 1.5418 Å, from a crystal structure in Alexandria, relaxed with PBE.
Intensities are scaled so that the largest is 100.

Most intense lines, 10 to 90 degrees two-theta, low angle first:
2θ 26.68, intensity 42; 2θ 27.38, intensity 28; 2θ 28.23, intensity 100; 2θ 28.92, intensity 52; 2θ 30.20, intensity 31; 2θ 30.77, intensity 60; 2θ 32.81, intensity 13; 2θ 39.25, intensity 38; 2θ 40.34, intensity 20; 2θ 51.59, intensity 23; 2θ 58.42, intensity 15; 2θ 65.33, intensity 17

Crystal structure
```
Ac7LaPb4
1.0
8.4313 -3.1606 0.0000
8.4313 3.1606 0.0000
-5.6412 0.0000 9.1100
Ac La Pb
7 1 4
direct
0.0000 0.0000 0.0000
0.2488 0.2488 0.6926
0.3074 0.3074 0.1247
0.4325 0.4325 0.5979
0.5675 0.5675 0.4021
0.6926 0.6926 0.8753
0.7512 0.7512 0.3074
0.5000 0.5000 0.0000
0.0694 0.0694 0.7427
0.1874 0.1874 0.3390
0.8126 0.8126 0.6610
0.9306 0.9306 0.2573
```

12.
Calculated XRD peak list of Ac3LaPb2 for a wavelength of 1.5418 Å, from a crystal structure in Alexandria, relaxed with PBE.
Intensities are scaled so that the largest is 100.

Most intense lines, 10 to 90 degrees two-theta, low angle first:
2θ 25.30, intensity 28; 2θ 27.07, intensity 93; 2θ 28.68, intensity 40; 2θ 31.84, intensity 100; 2θ 33.97, intensity 30; 2θ 36.08, intensity 69; 2θ 46.72, intensity 50; 2θ 50.39, intensity 20; 2θ 51.94, intensity 25; 2θ 59.54, intensity 21; 2θ 60.41, intensity 20; 2θ 62.23, intensity 31

Crystal structure
```
Ac3LaPb2
1.0
4.9790 0.0000 0.0000
0.0000 4.9790 0.0000
0.0000 0.0000 9.3370
Ac La Pb
3 1 2
direct
0.0000 0.0000 0.0000
0.0000 0.5000 0.6482
0.5000 0.0000 0.3518
0.5000 0.5000 0.0000
0.0000 0.5000 0.2758
0.5000 0.0000 0.7242
```

13.
Calculated XRD peak list of AcLa2Pb3 for a wavelength of 1.5418 Å, from a crystal structure in Alexandria, relaxed with PBE.
Intensities are scaled so that the largest is 100.

Most intense lines, 10 to 90 degrees two-theta, low angle first:
2θ 29.28, intensity 66; 2θ 32.51, intensity 100; 2θ 41.88, intensity 25; 2θ 51.04, intensity 7; 2θ 53.99, intensity 48; 2θ 59.93, intensity 18; 2θ 60.72, intensity 8; 2θ 68.08, intensity 12; 2θ 68.81, intensity 12; 2θ 70.58, intensity 11; 2θ 83.23, intensity 7; 2θ 85.58, intensity 13

Crystal structure
```
AcLa2Pb3
1.0
6.1005 0.0000 0.0000
0.0000 18.3076 0.0000
0.0000 0.0000 3.5789
Ac La Pb
2 4 6
direct
0.0000 0.0000 0.0000
0.5000 0.5000 0.0000
0.0000 0.3340 0.0000
0.0000 0.6660 0.0000
0.5000 0.1660 0.0000
0.5000 0.8340 0.0000
0.0000 0.1703 0.5000
0.0000 0.5000 0.5000
0.0000 0.8297 0.5000
0.5000 0.0000 0.5000
0.5000 0.3297 0.5000
0.5000 0.6703 0.5000
```